Computed powder XRD pattern of Ti5ReTc4 for Cu Kα X-rays, from a GGA-PBE-relaxed structure.
No peak broadening, texture or thermal motion is included.

Peak list (12 most intense, 10 to 90 degrees two-theta, low angle first)
2θ 11.40, d = 7.761 Å, I = 3, hkl 0 0 2
2θ 17.14, d = 5.174 Å, I = 1, hkl 0 0 3
2θ 28.74, d = 3.106 Å, I = 24, hkl 1 0 0
2θ 29.31, d = 3.047 Å, I = 2, hkl 1 0 1
2θ 31.00, d = 2.885 Å, I = 1, hkl 1 0 2
2θ 33.64, d = 2.664 Å, I = 1, hkl 1 0 3
2θ 41.09, d = 2.197 Å, I = 100, hkl 1 1 0
2θ 50.92, d = 1.793 Å, I = 7, hkl 1 1 5
2θ 59.52, d = 1.553 Å, I = 16, hkl 2 0 0
2θ 67.41, d = 1.389 Å, I = 9, hkl 2 1 0
2θ 74.88, d = 1.268 Å, I = 32, hkl 2 1 5
2θ 89.17, d = 1.098 Å, I = 10, hkl 2 2 0

Structure:
abc: 3.107 3.107 15.522
angles: 90.00 90.00 90.00
Space group P4/mmm (No. 123)
Asymmetric unit:
1 Ti 0.000 0.000 0.000
2 Ti 0.000 0.000 0.200
3 Ti 0.000 0.000 0.399
4 Re 0.500 0.500 0.500
5 Tc 0.500 0.500 0.100
6 Tc 0.500 0.500 0.299